(1)
# MnCr2Ir9
Computed powder X-ray diffraction pattern, Cu Kα (λ = 1.5418 Å). Input: a crystal structure in Alexandria, relaxed with GGA-PBE.
Neutral-atom scattering factors, no anomalous dispersion.

The 10 most intense peaks (2θ from 10° to 80°), sorted by position:
d/Å	intensity	index
5.943	9.7	0 1 0
2.206	100.0	0 2 2
2.202	33.5	2 1 1
1.922	22.6	-2 1 1
1.910	21.7	1 0 3
1.897	20.8	1 3 0
1.357	7.1	-1 1 4
1.353	7.0	3 -1 2
1.350	13.6	3 2 -1
1.346	13.4	2 3 3

Structural model:
Cell: 4.6867 6.0087 6.0506 Å, 84.14 82.94 83.06°
Space group P-1 (No. 2)
Unique sites:
Mn 0.0000 0.0000 0.0000 (multiplicity 1)
Cr 0.2514 0.9146 0.5812 (multiplicity 2)
Ir 0.0000 0.3196 0.6685 (multiplicity 2)
Ir 0.2471 0.5911 0.9133 (multiplicity 2)
Ir 0.2482 0.2381 0.2596 (multiplicity 2)
Ir 0.4974 0.1616 0.8283 (multiplicity 2)
Ir 0.5000 0.5000 0.5000 (multiplicity 1)


(2)
# Nd4Tm3Mg2
Computed powder X-ray diffraction pattern, Cu Kα (λ = 1.5418 Å). Input: a crystal structure in Alexandria, relaxed with GGA-PBE.
Neutral-atom scattering factors, no anomalous dispersion.

The 10 most intense peaks (2θ from 10° to 80°), sorted by position:
d/Å	intensity	index
4.374	18.1	0 1 1
2.810	100.0	0 1 3
2.785	97.3	1 1 0
1.978	36.5	2 0 3
1.627	13.4	1 0 6
1.613	38.1	1 2 3
1.608	18.8	3 0 0
1.393	11.6	2 2 0
1.254	11.2	2 1 6
1.248	16.2	3 1 3

Structural model:
Cell: 5.5703 5.5703 10.3685 Å, 90.00 90.00 120.00°
Space group P-3m1 (No. 164)
Unique sites:
Nd 0.0000 0.0000 0.1686 (multiplicity 2)
Nd 0.3333 0.6667 0.6220 (multiplicity 2)
Tm 0.0000 0.0000 0.5000 (multiplicity 1)
Tm 0.3333 0.6667 0.9730 (multiplicity 2)
Mg 0.3333 0.6667 0.2914 (multiplicity 2)


(3)
# TmGa2Cu5
Computed powder X-ray diffraction pattern, Cu Kα (λ = 1.5418 Å). Input: a crystal structure in Alexandria, relaxed with GGA-PBE.
Neutral-atom scattering factors, no anomalous dispersion.

The 10 most intense peaks (2θ from 10° to 80°), sorted by position:
d/Å	intensity	index
2.983	9.8	0 1 3
2.662	30.7	1 1 2
2.412	100.0	1 0 3
2.265	12.4	0 3 1
2.019	41.1	0 2 4
1.945	13.2	1 3 0
1.809	11.5	1 3 2
1.770	16.9	2 0 0
1.728	10.8	1 0 5
1.331	19.9	2 2 4

Structural model:
Cell: 3.5395 6.9786 9.9001 Å, 90.00 90.00 90.00°
Space group Immm (No. 71)
Unique sites:
Tm 0.0000 0.0000 0.0000 (multiplicity 2)
Ga 0.0000 0.5000 0.2535 (multiplicity 4)
Cu 0.0000 0.1920 0.3706 (multiplicity 8)
Cu 0.0000 0.5000 0.0000 (multiplicity 2)


(4)
# Hg3S2Br2
Computed powder X-ray diffraction pattern, Cu Kα (λ = 1.5418 Å). Input: a crystal structure in Alexandria, relaxed with GGA-PBE.
Neutral-atom scattering factors, no anomalous dispersion.

The 10 most intense peaks (2θ from 10° to 80°), sorted by position:
d/Å	intensity	index
4.969	100.0	1 0 -2
3.771	42.2	0 2 0
3.633	29.6	0 1 2
3.432	40.8	0 2 1
3.334	40.9	1 1 1
3.004	41.6	1 2 -2
2.982	79.9	2 1 -1
2.596	72.9	0 1 3
2.151	54.2	3 1 -3
1.862	40.1	1 1 -5

Structural model:
Cell: 6.7764 7.5413 10.1567 Å, 90.00 125.27 90.00°
Space group P2_1/c (No. 14)
Unique sites:
Hg 0.0000 0.0000 0.0000 (multiplicity 2)
Hg 0.3570 0.0726 0.6820 (multiplicity 4)
S 0.3814 0.1265 0.0854 (multiplicity 4)
Br 0.1181 0.6152 0.8845 (multiplicity 4)


(5)
# ThMgSc2Ga4
Computed powder X-ray diffraction pattern, Cu Kα (λ = 1.5418 Å). Input: a crystal structure in Alexandria, relaxed with GGA-PBE.
Neutral-atom scattering factors, no anomalous dispersion.

The 10 most intense peaks (2θ from 10° to 80°), sorted by position:
d/Å	intensity	index
4.003	36.4	1 0 1
3.874	30.5	0 1 2
3.225	43.9	0 1 5
2.775	21.3	1 0 7
2.574	100.0	0 1 8
2.337	95.1	1 1 0
2.227	20.7	1 0 10
1.730	29.9	2 0 8
1.391	28.5	1 2 8
1.350	16.0	3 0 0

Structural model:
Cell: 4.6748 4.6748 26.6751 Å, 90.00 90.00 120.00°
Space group R-3m (No. 166, hexagonal axes)
Unique sites:
Th 0.0000 0.0000 0.0000 (multiplicity 3)
Mg 0.0000 0.0000 0.5000 (multiplicity 3)
Sc 0.0000 0.0000 0.2350 (multiplicity 6)
Ga 0.0000 0.0000 0.1259 (multiplicity 6)
Ga 0.0000 0.0000 0.3907 (multiplicity 6)


(6)
# Sb2Pd3Rh
Computed powder X-ray diffraction pattern, Cu Kα (λ = 1.5418 Å). Input: a crystal structure in Alexandria, relaxed with GGA-PBE.
Neutral-atom scattering factors, no anomalous dispersion.

The 10 most intense peaks (2θ from 10° to 80°), sorted by position:
d/Å	intensity	index
2.888	18.4	0 0 2
2.642	58.1	0 2 2
2.631	57.0	2 2 0
2.183	36.2	0 6 0
2.166	86.0	0 4 2
2.160	84.0	2 4 0
2.037	100.0	2 0 2
1.924	17.8	1 6 1
1.489	41.5	2 6 2
1.200	34.3	2 4 4

Structural model:
Cell: 5.7460 13.1000 5.7758 Å, 90.00 90.00 90.00°
Space group Ibam (No. 72)
Unique sites:
Sb 0.2369 0.1340 0.0000 (multiplicity 8)
Pd 0.0000 0.5000 0.2500 (multiplicity 4)
Pd 0.2408 0.3345 0.0000 (multiplicity 8)
Rh 0.0000 0.0000 0.2500 (multiplicity 4)


(7)
# MgSi2
Computed powder X-ray diffraction pattern, Cu Kα (λ = 1.5418 Å). Input: a crystal structure in Alexandria, relaxed with GGA-PBE.
Neutral-atom scattering factors, no anomalous dispersion.

The 10 most intense peaks (2θ from 10° to 80°), sorted by position:
d/Å	intensity	index
3.346	16.0	1 0 2
2.907	38.5	1 1 1
2.890	19.2	0 1 2
2.785	34.8	2 0 1
2.368	61.2	0 1 3
2.329	100.0	2 1 -2
2.310	31.3	0 0 4
1.982	34.4	2 1 2
1.852	46.2	0 2 0
1.444	16.3	0 2 4

Structural model:
Cell: 6.5530 3.7038 9.5589 Å, 90.00 104.87 90.00°
Space group Pm (No. 6)
Unique sites:
Mg 0.0000 0.0000 0.0000 (multiplicity 1)
Mg 0.1592 0.0000 0.6862 (multiplicity 1)
Mg 0.4112 0.5000 0.2235 (multiplicity 1)
Mg 0.8008 0.5000 0.4846 (multiplicity 1)
Si 0.0014 0.5000 0.2327 (multiplicity 1)
Si 0.2160 0.5000 0.4774 (multiplicity 1)
Si 0.3252 0.5000 0.9141 (multiplicity 1)
Si 0.4413 0.0000 0.4716 (multiplicity 1)
Si 0.5493 0.0000 0.0093 (multiplicity 1)
Si 0.6777 0.5000 0.8414 (multiplicity 1)
Si 0.7262 0.0000 0.6922 (multiplicity 1)
Si 0.7763 0.0000 0.2493 (multiplicity 1)


(8)
# FeSiPRh2
Computed powder X-ray diffraction pattern, Cu Kα (λ = 1.5418 Å). Input: a crystal structure in Alexandria, relaxed with GGA-PBE.
Neutral-atom scattering factors, no anomalous dispersion.

The 10 most intense peaks (2θ from 10° to 80°), sorted by position:
d/Å	intensity	index
4.207	93.4	0 0 1
2.529	100.0	1 1 1
2.238	84.5	2 0 0
2.103	34.9	0 0 2
1.976	48.0	2 0 1
1.583	27.5	2 2 0
1.533	49.2	2 0 2
1.481	18.2	2 2 1
1.342	26.9	3 1 1
1.265	25.4	2 2 2

Structural model:
Cell: 4.4760 4.4760 4.2069 Å, 90.00 90.00 90.00°
Space group P4/mmm (No. 123)
Unique sites:
Fe 0.0000 0.0000 0.0000 (multiplicity 1)
Si 0.0000 0.0000 0.5000 (multiplicity 1)
P 0.5000 0.5000 0.5000 (multiplicity 1)
Rh 0.0000 0.5000 0.0000 (multiplicity 2)